No. 1
Starting from a cell relaxed with GGA-PBE, the PXRD pattern of La7I3O18 was calculated for Cu Ka.
Neutral-atom scattering factors, no anomalous dispersion.

Cell and atoms:
```
data_La7I3O18
_symmetry_space_group_name_H-M 'P 63/m'
_symmetry_Int_Tables_number 176
_symmetry_space_group_name_Hall '-P 6c'
_cell_length_a 16.4025
_cell_length_b 16.4025
_cell_length_c 4.2510
_cell_angle_alpha 90.00
_cell_angle_beta 90.00
_cell_angle_gamma 120.00
loop_
_atom_site_label
_atom_site_type_symbol
_atom_site_fract_x
_atom_site_fract_y
_atom_site_fract_z
La1 La 0.0860 0.2351 0.2500
La2 La 0.1410 0.4564 0.7500
La3 La 0.3333 0.6667 0.2500
I1 I 0.1061 0.6544 0.7500
O1 O 0.0187 0.1506 0.7500
O2 O 0.0346 0.2944 0.7500
O3 O 0.0920 0.8200 0.7500
O4 O 0.1721 0.5393 0.2500
O5 O 0.1744 0.4069 0.2500
O6 O 0.2375 0.6807 0.7500
```

Top 10 peaks for 2θ from 15° to 90°, sorted by position:
Position (°2θ)  d (Å)  I (rel.)  hkl
26.75  3.333  100  2 1 1
27.37  3.259  22  2 3 0
28.21  3.163  14  3 0 1
28.80  3.100  52  4 1 0
34.68  2.586  15  2 3 1
41.27  2.188  30  5 1 1
42.53  2.125  23  0 0 2
51.10  1.788  24  2 6 1
52.18  1.753  20  1 4 2
54.91  1.672  14  4 5 1

No. 2
Starting from a cell relaxed with GGA-PBE, the PXRD pattern of CsMg6BO8 was calculated for Cu Ka.
Neutral-atom scattering factors, no anomalous dispersion.

Cell and atoms:
```
data_CsMg6BO8
_symmetry_space_group_name_H-M 'P 4/m m m'
_symmetry_Int_Tables_number 123
_symmetry_space_group_name_Hall '-P 4 2'
_cell_length_a 5.0859
_cell_length_b 5.0859
_cell_length_c 7.9022
_cell_angle_alpha 90.00
_cell_angle_beta 90.00
_cell_angle_gamma 90.00
loop_
_atom_site_label
_atom_site_type_symbol
_atom_site_fract_x
_atom_site_fract_y
_atom_site_fract_z
Cs1 Cs 0.0000 0.0000 0.0000
Mg1 Mg 0.0000 0.5000 0.2580
Mg2 Mg 0.5000 0.5000 0.0000
Mg3 Mg 0.5000 0.5000 0.5000
B1 B 0.0000 0.0000 0.5000
O1 O 0.0000 0.0000 0.3353
O2 O 0.0000 0.5000 0.0000
O3 O 0.0000 0.5000 0.5000
O4 O 0.5000 0.5000 0.2492
```

Top 10 peaks for 2θ from 15° to 90°, sorted by position:
Position (°2θ)  d (Å)  I (rel.)  hkl
17.44  5.086  24  1 0 0
20.77  4.277  44  1 0 1
27.24  3.273  26  1 1 1
28.61  3.120  21  1 0 2
33.70  2.660  38  1 1 2
35.29  2.543  100  2 0 0
38.49  2.339  21  1 0 3
50.77  1.798  32  2 2 0
59.23  1.560  32  2 0 4
70.88  1.330  20  2 2 4

No. 3
Starting from a cell relaxed with GGA-PBE, the PXRD pattern of Ti3CuSn was calculated for Cu Ka.
Neutral-atom scattering factors, no anomalous dispersion.

Cell and atoms:
```
data_Ti3CuSn
_symmetry_space_group_name_H-M 'P -6 m 2'
_symmetry_Int_Tables_number 187
_symmetry_space_group_name_Hall 'P -6 2'
_cell_length_a 4.7038
_cell_length_b 4.7038
_cell_length_c 5.0769
_cell_angle_alpha 90.00
_cell_angle_beta 90.00
_cell_angle_gamma 120.00
loop_
_atom_site_label
_atom_site_type_symbol
_atom_site_fract_x
_atom_site_fract_y
_atom_site_fract_z
Ti1 Ti 0.0000 0.0000 0.0000
Ti2 Ti 0.3333 0.6667 0.2330
Cu1 Cu 0.0000 0.0000 0.5000
Sn1 Sn 0.6667 0.3333 0.0000
```

Top 10 peaks for 2θ from 15° to 90°, sorted by position:
Position (°2θ)  d (Å)  I (rel.)  hkl
17.47  5.077  27  0 0 1
28.08  3.177  69  1 0 1
38.27  2.352  100  1 1 0
41.93  2.154  62  1 0 2
42.35  2.134  16  1 1 1
48.14  1.890  17  2 0 1
58.06  1.589  22  2 0 2
69.19  1.358  16  3 0 0
71.69  1.316  23  2 1 2
87.29  1.117  17  1 1 4

No. 4
Starting from a cell relaxed with GGA-PBE, the PXRD pattern of KMg7 was calculated for Cu Ka.
Neutral-atom scattering factors, no anomalous dispersion.

Cell and atoms:
```
data_KMg7
_symmetry_space_group_name_H-M 'P -6 m 2'
_symmetry_Int_Tables_number 187
_symmetry_space_group_name_Hall 'P -6 2'
_cell_length_a 6.7632
_cell_length_b 6.7632
_cell_length_c 5.3945
_cell_angle_alpha 90.00
_cell_angle_beta 90.00
_cell_angle_gamma 120.00
loop_
_atom_site_label
_atom_site_type_symbol
_atom_site_fract_x
_atom_site_fract_y
_atom_site_fract_z
K1 K 0.0000 0.0000 0.0000
Mg1 Mg 0.0042 0.5021 0.0000
Mg2 Mg 0.1741 0.3482 0.5000
Mg3 Mg 0.6667 0.3333 0.5000
```

Top 10 peaks for 2θ from 15° to 90°, sorted by position:
Position (°2θ)  d (Å)  I (rel.)  hkl
22.41  3.968  4  1 0 1
30.52  2.929  24  2 0 0
33.22  2.697  26  0 0 2
34.86  2.574  100  2 0 1
45.73  1.984  15  2 0 2
54.25  1.691  17  2 2 0
60.41  1.532  19  2 0 3
65.11  1.433  19  2 2 2
66.12  1.413  14  4 0 1
85.53  1.135  6  4 0 3

No. 5
Starting from a cell relaxed with GGA-PBE, the PXRD pattern of NpCuSe2 was calculated for Cu Ka.
Neutral-atom scattering factors, no anomalous dispersion.

Cell and atoms:
```
data_NpCuSe2
_symmetry_space_group_name_H-M 'P 1 21/c 1'
_symmetry_Int_Tables_number 14
_cell_length_a 6.6013
_cell_length_b 7.3557
_cell_length_c 7.0941
_cell_angle_alpha 90.00
_cell_angle_beta 97.17
_cell_angle_gamma 90.00
loop_
_symmetry_equiv_pos_as_xyz
'x,y,z'
'-x,-y,-z'
'-x,y+1/2,-z+1/2'
'x,-y+1/2,z+1/2'
loop_
_atom_site_label
_atom_site_type_symbol
_atom_site_fract_x
_atom_site_fract_y
_atom_site_fract_z
Np1 Np 0.1926 0.0489 0.2964
Cu1 Cu 0.4360 0.6625 0.4616
Se1 Se 0.0833 0.7293 0.5018
Se2 Se 0.3980 0.1095 0.7119
```

Top 10 peaks for 2θ from 15° to 90°, sorted by position:
Position (°2θ)  d (Å)  I (rel.)  hkl
21.13  4.205  51  1 1 -1
23.09  3.852  100  1 1 1
29.90  2.989  55  1 2 -1
31.12  2.874  100  2 1 -1
32.70  2.738  47  1 1 2
35.30  2.543  72  0 2 2
36.74  2.446  59  2 2 0
39.23  2.296  44  1 3 0
39.88  2.261  31  2 0 2
40.35  2.235  40  0 1 3